This entry pairs a crystal structure of MgCo2P2O8 with its computed powder XRD pattern. Radiation: Cu Kα X-rays. Structure: the PBE+U geometry in the Materials Project.
Lines closer than 0.1° are merged.

Peak list (10 most intense, 10° ≤ 2θ ≤ 80°, in order of rising 2θ)
Position (°2θ), I_rel
19.48, 32.3
21.73, 19.8
24.00, 25.5
25.87, 19.1
32.65, 40.2
34.30, 100.0
36.81, 47.1
43.50, 16.6
49.13, 26.9
63.83, 29.1

abc: 6.385 4.924 4.924
angles: 67.71 90.00 90.00
Fractional coordinates of all 13 atoms:
Mg1 0.000 0.000 0.000
Co1 0.266 0.327 0.327
Co2 0.734 0.327 0.327
P1 0.000 0.667 0.667
P2 0.500 0.966 0.966
O1 0.000 0.017 0.563
O2 0.000 0.563 0.017
O3 0.198 0.565 0.565
O4 0.299 0.075 0.075
O5 0.500 0.093 0.626
O6 0.500 0.626 0.093
O7 0.701 0.075 0.075
O8 0.802 0.565 0.565

***

This entry pairs a crystal structure of MgCo4P12O36 with its computed powder XRD pattern. Radiation: Cu Kα X-rays. Structure: the PBE+U geometry in the Materials Project.
Lines closer than 0.1° are merged.

Peak list (10 most intense, 10° ≤ 2θ ≤ 80°, in order of rising 2θ)
Position (°2θ), I_rel
20.34, 24.3
22.83, 63.2
22.99, 69.3
23.24, 100.0
23.39, 31.3
25.42, 23.6
25.53, 29.2
32.29, 26.0
33.07, 56.0
33.20, 27.2

abc: 8.488 8.577 8.732
angles: 91.14 90.48 90.11
Fractional coordinates of all 53 atoms:
Mg1 0.000 0.000 0.000
Co1 0.023 0.283 0.758
Co2 0.293 0.765 0.960
Co3 0.523 0.491 0.465
Co4 0.773 0.986 0.276
P1 0.121 0.806 0.295
P2 0.185 0.315 0.429
P3 0.334 0.148 0.924
P4 0.354 0.827 0.558
P5 0.449 0.440 0.063
P6 0.466 0.121 0.420
P7 0.620 0.950 0.921
P8 0.685 0.456 0.804
P9 0.830 0.617 0.296
P10 0.853 0.937 0.666
P11 0.944 0.315 0.178
P12 0.965 0.655 0.809
O1 0.006 0.668 0.351
O2 0.019 0.939 0.233
O3 0.036 0.760 0.934
O4 0.059 0.517 0.759
O5 0.060 0.262 0.536
O6 0.105 0.357 0.269
O7 0.195 0.857 0.457
O8 0.244 0.011 0.988
O9 0.246 0.749 0.189
O10 0.255 0.229 0.794
O11 0.289 0.168 0.371
O12 0.291 0.447 0.479
O13 0.305 0.800 0.719
O14 0.338 0.541 0.975
O15 0.374 0.266 0.063
O16 0.433 0.000 0.555
O17 0.462 0.715 0.474
O18 0.498 0.474 0.225
O19 0.508 0.095 0.876
O20 0.522 0.818 0.974
O21 0.541 0.038 0.287
O22 0.548 0.263 0.489
O23 0.561 0.510 0.694
O24 0.607 0.411 0.964
O25 0.690 0.910 0.755
O26 0.750 0.753 0.225
O27 0.751 0.539 0.429
O28 0.756 0.002 0.023
O29 0.792 0.605 0.862
O30 0.793 0.325 0.757
O31 0.818 0.977 0.506
O32 0.838 0.213 0.267
O33 0.871 0.488 0.164
O34 0.927 0.763 0.665
O35 0.959 0.041 0.766
O36 0.992 0.253 0.021

***

This entry pairs a crystal structure of MgCo2P2O10 with its computed powder XRD pattern. Radiation: Cu Kα X-rays. Structure: the PBE+U geometry in the Materials Project.
Lines closer than 0.1° are merged.

Peak list (10 most intense, 10° ≤ 2θ ≤ 80°, in order of rising 2θ)
Position (°2θ), I_rel
15.86, 33.2
22.11, 17.8
28.01, 41.8
30.08, 20.3
31.17, 80.9
32.05, 100.0
45.09, 24.8
54.10, 22.6
56.73, 18.6
67.02, 17.5

abc: 9.859 8.923 6.525
angles: 77.61 62.12 40.27
Fractional coordinates of all 30 atoms:
Mg1 0.125 0.125 0.125
Mg2 0.875 0.875 0.875
Co1 0.000 0.500 0.500
Co2 0.500 0.000 0.500
Co3 0.500 0.500 0.000
Co4 0.500 0.500 0.500
P1 0.083 0.083 0.667
P2 0.333 0.333 0.917
P3 0.667 0.667 0.083
P4 0.917 0.917 0.333
O1 0.055 0.220 0.467
O2 0.113 0.434 0.161
O3 0.161 0.792 0.113
O4 0.208 0.839 0.566
O5 0.220 0.055 0.758
O6 0.242 0.533 0.780
O7 0.292 0.292 0.458
O8 0.434 0.113 0.792
O9 0.458 0.458 0.292
O10 0.467 0.758 0.055
O11 0.533 0.242 0.945
O12 0.542 0.542 0.708
O13 0.566 0.887 0.208
O14 0.708 0.708 0.542
O15 0.758 0.467 0.220
O16 0.780 0.945 0.242
O17 0.792 0.161 0.434
O18 0.839 0.208 0.887
O19 0.887 0.566 0.839
O20 0.945 0.780 0.533

***

This entry pairs a crystal structure of MgCo3P3O13 with its computed powder XRD pattern. Radiation: Cu Kα X-rays. Structure: the PBE+U geometry in the Materials Project.
Lines closer than 0.1° are merged.

Peak list (10 most intense, 10° ≤ 2θ ≤ 80°, in order of rising 2θ)
Position (°2θ), I_rel
16.72, 30.4
19.72, 100.0
23.38, 26.6
24.08, 50.6
27.23, 45.4
28.40, 55.8
31.66, 58.3
32.87, 46.2
37.56, 25.8
39.63, 25.1

abc: 7.521 6.286 10.047
angles: 90.00 100.39 90.00
Fractional coordinates of all 40 atoms:
Mg1 0.131 0.250 0.179
Mg2 0.869 0.750 0.821
Co1 0.149 0.250 0.798
Co2 0.290 0.750 0.432
Co3 0.500 0.000 0.000
Co4 0.500 0.500 0.000
Co5 0.710 0.250 0.568
Co6 0.851 0.750 0.202
P1 0.182 0.750 0.112
P2 0.233 0.750 0.762
P3 0.279 0.250 0.504
P4 0.721 0.750 0.496
P5 0.767 0.250 0.238
P6 0.818 0.250 0.888
O1 0.009 0.250 0.978
O2 0.111 0.562 0.789
O3 0.111 0.938 0.789
O4 0.130 0.750 0.254
O5 0.153 0.250 0.607
O6 0.247 0.059 0.405
O7 0.247 0.441 0.405
O8 0.282 0.750 0.621
O9 0.289 0.541 0.099
O10 0.289 0.959 0.099
O11 0.376 0.250 0.907
O12 0.411 0.750 0.870
O13 0.476 0.250 0.588
O14 0.524 0.750 0.412
O15 0.589 0.250 0.130
O16 0.624 0.750 0.093
O17 0.711 0.041 0.901
O18 0.711 0.459 0.901
O19 0.718 0.250 0.379
O20 0.753 0.559 0.595
O21 0.753 0.941 0.595
O22 0.847 0.750 0.393
O23 0.870 0.250 0.746
O24 0.889 0.062 0.211
O25 0.889 0.438 0.211
O26 0.991 0.750 0.022

***

This entry pairs a crystal structure of MgCo2P2O8 with its computed powder XRD pattern. Radiation: Cu Kα X-rays. Structure: the PBE+U geometry in the Materials Project.
Lines closer than 0.1° are merged.

Peak list (10 most intense, 10° ≤ 2θ ≤ 80°, in order of rising 2θ)
Position (°2θ), I_rel
21.49, 100.0
21.73, 32.6
21.93, 47.4
28.06, 27.8
34.95, 28.3
35.28, 31.9
35.52, 12.3
35.70, 16.4
36.04, 12.9
37.98, 12.9

abc: 4.985 5.069 8.485
angles: 76.74 74.16 61.51
Fractional coordinates of all 13 atoms:
Mg1 0.000 0.000 0.000
Co1 0.102 0.371 0.282
Co2 0.747 0.747 0.733
P1 0.349 0.364 0.881
P2 0.752 0.006 0.379
O1 0.153 0.278 0.045
O2 0.176 0.415 0.745
O3 0.384 0.648 0.896
O4 0.494 0.306 0.319
O5 0.647 0.809 0.524
O6 0.686 0.094 0.856
O7 0.904 0.815 0.225
O8 0.990 0.071 0.425

***

This entry pairs a crystal structure of MgCoP4O12 with its computed powder XRD pattern. Radiation: Cu Kα X-rays. Structure: the PBE+U geometry in the Materials Project.
Lines closer than 0.1° are merged.

Peak list (10 most intense, 10° ≤ 2θ ≤ 80°, in order of rising 2θ)
Position (°2θ), I_rel
14.22, 45.3
19.11, 42.7
20.60, 23.9
24.88, 30.4
27.68, 21.7
29.35, 100.0
30.76, 24.0
34.25, 22.5
37.22, 21.1
42.51, 19.2

abc: 7.290 7.290 10.071
angles: 113.04 113.04 70.23
Fractional coordinates of all 36 atoms:
Mg1 0.047 0.953 0.750
Mg2 0.953 0.047 0.250
Co1 0.000 0.500 0.500
Co2 0.500 0.000 0.000
P1 0.255 0.732 0.024
P2 0.268 0.745 0.476
P3 0.295 0.316 0.806
P4 0.316 0.295 0.306
P5 0.684 0.705 0.694
P6 0.705 0.684 0.194
P7 0.732 0.255 0.524
P8 0.745 0.268 0.976
O1 0.093 0.849 0.098
O2 0.126 0.279 0.325
O3 0.151 0.907 0.402
O4 0.186 0.715 0.582
O5 0.193 0.350 0.655
O6 0.215 0.505 0.936
O7 0.279 0.126 0.825
O8 0.285 0.814 0.918
O9 0.315 0.533 0.350
O10 0.350 0.193 0.155
O11 0.467 0.685 0.150
O12 0.495 0.785 0.564
O13 0.505 0.215 0.436
O14 0.533 0.315 0.850
O15 0.650 0.807 0.845
O16 0.685 0.467 0.650
O17 0.715 0.186 0.082
O18 0.721 0.874 0.175
O19 0.785 0.495 0.064
O20 0.807 0.650 0.345
O21 0.814 0.285 0.418
O22 0.849 0.093 0.598
O23 0.874 0.721 0.675
O24 0.907 0.151 0.902

***

This entry pairs a crystal structure of SrMgCoP2O8 with its computed powder XRD pattern. Radiation: Cu Kα X-rays. Structure: the PBE+U geometry in the Materials Project.
Lines closer than 0.1° are merged.

Peak list (10 most intense, 10° ≤ 2θ ≤ 80°, in order of rising 2θ)
Position (°2θ), I_rel
14.06, 20.9
21.41, 18.0
22.47, 18.3
27.84, 100.0
29.46, 20.7
30.50, 50.1
31.79, 36.3
32.78, 34.3
33.57, 48.2
39.28, 18.2

abc: 8.204 9.473 9.491
angles: 63.06 77.01 83.19
Fractional coordinates of all 52 atoms:
Sr1 0.248 0.447 0.003
Sr2 0.252 0.552 0.499
Sr3 0.748 0.448 0.501
Sr4 0.752 0.553 0.997
Mg1 0.112 0.155 0.623
Mg2 0.387 0.845 0.876
Mg3 0.613 0.155 0.124
Mg4 0.888 0.845 0.377
Co1 0.213 0.064 0.075
Co2 0.287 0.937 0.423
Co3 0.713 0.063 0.577
Co4 0.787 0.936 0.925
P1 0.034 0.804 0.691
P2 0.041 0.738 0.148
P3 0.459 0.263 0.352
P4 0.468 0.196 0.810
P5 0.532 0.804 0.190
P6 0.541 0.737 0.648
P7 0.959 0.262 0.852
P8 0.966 0.196 0.309
O1 0.002 0.621 0.331
O2 0.035 0.902 0.153
O3 0.058 0.633 0.813
O4 0.060 0.811 0.517
O5 0.099 0.266 0.936
O6 0.147 0.135 0.265
O7 0.164 0.923 0.673
O8 0.212 0.704 0.059
O9 0.287 0.297 0.440
O10 0.338 0.076 0.829
O11 0.351 0.865 0.234
O12 0.402 0.734 0.563
O13 0.440 0.191 0.983
O14 0.443 0.367 0.688
O15 0.463 0.099 0.347
O16 0.498 0.379 0.169
O17 0.502 0.621 0.831
O18 0.537 0.901 0.653
O19 0.557 0.633 0.312
O20 0.560 0.809 0.017
O21 0.598 0.266 0.437
O22 0.649 0.135 0.766
O23 0.662 0.924 0.171
O24 0.713 0.703 0.560
O25 0.788 0.296 0.941
O26 0.836 0.077 0.327
O27 0.853 0.865 0.735
O28 0.901 0.734 0.064
O29 0.940 0.189 0.483
O30 0.942 0.367 0.187
O31 0.965 0.098 0.847
O32 0.998 0.379 0.669

***

This entry pairs a crystal structure of MgTiCoP3O12 with its computed powder XRD pattern. Radiation: Cu Kα X-rays. Structure: the PBE+U geometry in the Materials Project.
Lines closer than 0.1° are merged.

Peak list (10 most intense, 10° ≤ 2θ ≤ 80°, in order of rising 2θ)
Position (°2θ), I_rel
20.57, 47.3
20.95, 24.6
24.36, 100.0
29.53, 17.7
31.97, 15.4
33.36, 46.8
36.04, 24.5
47.80, 19.2
49.92, 18.1
56.39, 15.7

abc: 8.482 8.482 8.482
angles: 61.19 61.19 61.19
Fractional coordinates of all 36 atoms:
Mg1 0.000 0.000 0.000
Mg2 0.500 0.500 0.500
Ti1 0.148 0.148 0.148
Ti2 0.648 0.648 0.648
Co1 0.358 0.358 0.358
Co2 0.858 0.858 0.858
P1 0.050 0.460 0.754
P2 0.254 0.960 0.550
P3 0.460 0.754 0.050
P4 0.550 0.254 0.960
P5 0.754 0.050 0.460
P6 0.960 0.550 0.254
O1 0.008 0.384 0.188
O2 0.008 0.616 0.824
O3 0.058 0.263 0.915
O4 0.093 0.946 0.744
O5 0.116 0.508 0.324
O6 0.188 0.008 0.384
O7 0.244 0.446 0.593
O8 0.263 0.915 0.058
O9 0.324 0.116 0.508
O10 0.384 0.188 0.008
O11 0.415 0.763 0.558
O12 0.446 0.593 0.244
O13 0.508 0.324 0.116
O14 0.508 0.688 0.884
O15 0.558 0.415 0.763
O16 0.593 0.244 0.446
O17 0.616 0.824 0.008
O18 0.688 0.884 0.508
O19 0.744 0.093 0.946
O20 0.763 0.558 0.415
O21 0.824 0.008 0.616
O22 0.884 0.508 0.688
O23 0.915 0.058 0.263
O24 0.946 0.744 0.093